Theoretical PXRD pattern of FeH12C2S2O12F6 for Cu Kα, 1.54184 Å, from a cell relaxed with PBE+U.
Kinematic intensities with the Lorentz-polarization factor, no thermal factor.

Top 10 peaks for 5 to 70 degrees two-theta, low angle first:
- 2θ = 18.52°, intensity 100
- 2θ = 19.18°, intensity 50
- 2θ = 27.29°, intensity 24
- 2θ = 29.12°, intensity 14
- 2θ = 31.54°, intensity 26
- 2θ = 41.15°, intensity 8
- 2θ = 43.43°, intensity 6
- 2θ = 45.82°, intensity 8
- 2θ = 45.88°, intensity 6
- 2θ = 49.83°, intensity 13

Crystal structure
```
FeH12C2S2O12F6
1.0
9.4494 -3.5235 0.0000
9.4494 3.5235 0.0000
-1.5018 0.0000 6.4212
Fe H C S O F
1 12 2 2 12 6
Cartesian
0.0000 0.0000 0.0000
7.6933 2.7281 2.0486
6.8286 1.6915 4.5383
9.7038 2.7281 4.3726
6.2971 1.3331 5.9987
10.5684 1.6915 1.8829
11.0999 1.3331 0.4225
6.2971 -1.3331 5.9987
6.8286 -1.6915 4.5383
11.0999 -1.3331 0.4225
7.6933 -2.7281 2.0486
10.5684 -1.6915 1.8829
9.7038 -2.7281 4.3726
4.7753 0.0000 1.9094
12.6217 0.0000 4.5118
6.6430 0.0000 2.0316
10.7540 0.0000 4.3896
-0.1885 0.0000 4.7457
6.7683 2.0099 5.4657
6.9546 1.2313 2.7632
10.6287 2.0099 0.9555
7.0997 0.0000 0.6404
10.4424 1.2313 3.6580
6.9546 -1.2313 2.7632
10.2973 0.0000 5.7808
6.7683 -2.0099 5.4657
10.4424 -1.2313 3.6580
10.6287 -2.0099 0.9555
17.5855 0.0000 1.6755
4.3593 1.1003 1.2494
4.2342 0.0000 3.1517
4.3593 -1.1003 1.2494
13.0377 1.1003 5.1718
13.1629 0.0000 3.2695
13.0377 -1.1003 5.1718
```